Computed powder X-ray diffraction pattern of Sr6Al12Bi2O27 for Cu Kα (weighted mean of Kα1 and Kα2), from a cell relaxed with GGA-PBE.
Neutral-atom scattering factors, no anomalous dispersion.

Structure:
```
data_Sr6Al12Bi2O27
_space_group_name_H-M_alt 'R 3'
_space_group_IT_number 146
_space_group_name_Hall 'R 3'
_cell_length_a 17.9521
_cell_length_b 17.9521
_cell_length_c 7.2216
_cell_angle_alpha 90.00
_cell_angle_beta 90.00
_cell_angle_gamma 120.00
loop_
_atom_site_label
_atom_site_type_symbol
_atom_site_fract_x
_atom_site_fract_y
_atom_site_fract_z
Sr1 Sr 0.0813 0.5195 0.0000
Sr2 Sr 0.1918 0.7761 0.8200
Al1 Al 0.0198 0.2805 0.9569
Al2 Al 0.0721 0.6856 0.1892
Al3 Al 0.0777 0.8789 0.7809
Al4 Al 0.1955 0.0775 0.7070
Bi1 Bi 0.0000 0.0000 0.0167
Bi2 Bi 0.0000 0.0000 0.4374
O1 O 0.0137 0.7318 0.2857
O2 O 0.0281 0.1465 0.6343
O3 O 0.0560 0.5927 0.3065
O4 O 0.0617 0.3836 0.8594
O5 O 0.0768 0.5146 0.6250
O6 O 0.0927 0.0039 0.2296
O7 O 0.1309 0.3912 0.5084
O8 O 0.1490 0.1222 0.8621
O9 O 0.1833 0.7649 0.1900
```

The 10 most intense peaks (2θ from 10° to 90°), in order of falling intensity:
| hkl | two_theta | Rel. int. |
| --- | --- | --- |
| 3 3 0 | 29.86 | 100.0 |
| 4 -1 2 | 32.34 | 75.7 |
| 2 0 2 | 27.23 | 75.6 |
| 2 2 0 | 19.78 | 73.2 |
| 5 -2 1 | 27.90 | 72.3 |
| 1 4 0 | 26.27 | 61.8 |
| 7 1 0 | 43.97 | 56.4 |
| 5 3 2 | 48.10 | 51.7 |
| 6 -5 2 | 40.85 | 50.6 |
| 1 3 1 | 24.04 | 31.7 |